# TmUZn17
Calculated powder X-ray diffraction pattern, Cu Kα (weighted mean of Kα1 and Kα2). Input: DFT lattice parameters and positions (GGA-PBE).
Neutral-atom scattering factors, no anomalous dispersion.

Structure:
Cell: 6.7774 6.7774 6.7774 Å, 82.71 82.71 82.71°
Sites, in units of the cell vectors:
Tm1 0.0000 0.0000 0.0000
U1 0.3275 0.3275 0.3275
Zn1 0.0175 0.0175 0.5022
Zn2 0.0175 0.5022 0.0175
Zn3 0.1649 0.6616 0.6616
Zn4 0.3107 0.3107 0.8256
Zn5 0.3107 0.8256 0.3107
Zn6 0.3653 0.6645 0.9608
Zn7 0.3653 0.9608 0.6645
Zn8 0.5022 0.0175 0.0175
Zn9 0.5634 0.5634 0.5634
Zn10 0.6616 0.1649 0.6616
Zn11 0.6616 0.6616 0.1649
Zn12 0.6645 0.3653 0.9608
Zn13 0.6645 0.9608 0.3653
Zn14 0.7645 0.7645 0.7645
Zn15 0.8256 0.3107 0.3107
Zn16 0.9608 0.3653 0.6645
Zn17 0.9608 0.6645 0.3653

Top 10 peaks for 10° ≤ 2θ ≤ 80°, by angle:
Position (°2θ)	I/Imax
28.5	37
34.7	43
35.8	25
40.3	58
40.5	100
41.2	46
58.4	20
59.0	23
73.2	23
74.6	20

# Y3Tm8
Calculated powder X-ray diffraction pattern, Cu Kα (weighted mean of Kα1 and Kα2). Input: DFT lattice parameters and positions (GGA-PBE).
Neutral-atom scattering factors, no anomalous dispersion.

Structure:
Cell: 31.5329 31.5329 31.5329 Å, 6.39 6.39 6.39°
Sites, in units of the cell vectors:
Y1 0.0000 0.0000 0.0000
Y2 0.2722 0.2722 0.2722
Y3 0.7278 0.7278 0.7278
Tm1 0.0918 0.0918 0.0918
Tm2 0.1816 0.1816 0.1816
Tm3 0.3639 0.3639 0.3639
Tm4 0.4551 0.4551 0.4551
Tm5 0.5449 0.5449 0.5449
Tm6 0.6361 0.6361 0.6361
Tm7 0.8184 0.8184 0.8184
Tm8 0.9082 0.9082 0.9082

Top 10 peaks for 10° ≤ 2θ ≤ 80°, by angle:
Position (°2θ)	I/Imax
14.1	3
31.2	100
36.2	50
52.1	18
52.2	17
62.0	32
62.1	10
65.0	10
65.2	3
76.8	6